This entry pairs a crystal structure of BaSrPrVO6 with its computed PXRD pattern. Radiation: Cu Kα (weighted mean of Kα1 and Kα2). Structure: a crystal structure in Alexandria, relaxed with PBE+U.
Neutral-atom scattering factors, no anomalous dispersion.

Crystal structure
```
data_BaSrPrVO6
_cell_length_a 5.9669
_cell_length_b 5.9733
_cell_length_c 8.4257
_cell_angle_alpha 89.28
_cell_angle_beta 89.31
_cell_angle_gamma 89.90
_space_group_name_H-M_alt 'P -1'
_space_group_IT_number 2
_space_group_name_Hall '-P 1'
loop_
_atom_site_label
_atom_site_fract_x
_atom_site_fract_y
_atom_site_fract_z
Ba1 0.0153 0.0046 0.2509
Sr1 0.4721 0.5082 0.7535
Pr1 0.0000 0.5000 0.5000
Pr2 0.5000 0.0000 0.0000
V1 0.0000 0.5000 0.0000
V2 0.5000 0.0000 0.5000
O1 0.0358 0.4471 0.7768
O2 0.1977 0.7505 0.9779
O3 0.2567 0.7945 0.5299
O4 0.2583 0.3102 0.0414
O5 0.2964 0.2436 0.4550
O6 0.4894 0.0740 0.7231
```

The 10 most intense peaks (10 to 90 degrees two-theta), in order of falling intensity:
2θ 30.0, I = 100, hkl 1 -1 2
2θ 42.8, I = 29, hkl 2 2 0
2θ 29.7, I = 25, hkl 1 1 2
2θ 30.2, I = 24, hkl 1 1 -2
2θ 52.8, I = 16, hkl 0 2 4
2θ 53.5, I = 15, hkl 1 3 -2
2θ 42.9, I = 14, hkl 0 0 4
2θ 53.0, I = 10, hkl 2 0 4
2θ 53.4, I = 10, hkl 1 -3 2
2θ 70.6, I = 9, hkl -1 1 6